1.
Diffraction record for Pr6Ho2Cd. The powder XRD pattern is simulated, not measured: it uses a structure optimized by DFT (PBE) and copper Kα.
Neutral-atom scattering factors, no anomalous dispersion.

Cell and atoms:
```
Pr6Ho2Cd
1.0
6.3854 0.0000 0.0000
-0.0423 6.7695 0.0000
-3.0129 -1.7503 13.8939
Pr Ho Cd
12 4 2
Cartesian
-0.9246 1.6417 5.3934
-2.0378 1.2482 11.6014
-1.0550 -0.0877 8.5757
1.0041 1.2211 0.9227
2.1567 4.6616 0.8110
1.0552 4.2105 6.9930
2.2749 0.8088 6.9009
1.1735 0.3577 13.0830
2.3261 3.7981 12.9712
4.3852 5.1070 5.3183
5.3680 3.7711 2.2926
4.2548 3.3775 8.5005
-0.8953 4.6853 11.5240
2.1283 2.7508 3.8761
1.2019 2.2684 10.0179
4.2255 0.3339 2.3699
1.2178 6.1199 3.8725
2.1124 -1.1007 10.0214
```

Most intense lines, 5 to 70 degrees two-theta, most intense first:
2θ (°)  I/Imax
32.0  100
32.4  61
31.0  48
32.7  30
55.8  19
28.5  17
60.2  16
28.2  15
27.9  14
49.4  13

2.
Diffraction record for Pr8Ho5Cd. The powder XRD pattern is simulated, not measured: it uses a structure optimized by DFT (PBE) and copper Kα.
Neutral-atom scattering factors, no anomalous dispersion.

Cell and atoms:
```
Pr8Ho5Cd
1.0
7.3112 -4.5195 0.0000
7.3112 4.5195 0.0000
-5.5700 0.0000 7.2905
Pr Ho Cd
8 5 1
Cartesian
-1.3151 0.0000 3.0432
-1.4016 0.5641 6.9647
2.8156 -1.1874 2.5571
0.2070 -2.2882 4.7856
10.4539 0.5641 0.3258
6.2367 -1.1874 4.7333
10.3674 0.0000 4.2472
8.8453 -2.2882 2.5049
7.3112 3.8579 0.0000
1.8476 0.8312 5.5361
7.2047 0.8312 1.7543
5.8885 -2.1037 0.8695
3.1638 -2.1037 6.4210
4.5262 1.4889 3.6452
```

Most intense lines, 5 to 70 degrees two-theta, most intense first:
2θ (°)  I/Imax
32.2  100
30.9  71
31.8  71
31.2  47
30.7  39
31.5  36
33.6  28
30.0  22
25.0  19
36.1  19

3.
Diffraction record for Pr3HoCd. The powder XRD pattern is simulated, not measured: it uses a structure optimized by DFT (PBE) and copper Kα.
Neutral-atom scattering factors, no anomalous dispersion.

Cell and atoms:
```
Pr3HoCd
1.0
3.8625 0.0000 0.0000
0.0000 10.7266 0.0000
0.0000 0.0000 8.2395
Pr Ho Cd
6 2 2
Cartesian
0.9656 0.0076 2.0082
0.9656 5.3557 2.0082
0.9656 8.0450 4.5228
2.8969 2.6817 3.7168
2.8969 5.3710 6.2314
2.8969 10.7190 6.2314
0.9656 8.0450 7.7531
2.8969 2.6817 0.4864
0.9656 2.6817 6.3260
2.8969 8.0450 1.9136
```

Most intense lines, 5 to 70 degrees two-theta, most intense first:
2θ (°)  I/Imax
30.5  100
27.3  44
32.9  40
33.4  39
63.8  22
40.8  22
33.7  21
40.3  18
57.9  16
53.3  16

4.
Diffraction record for PrHo4Cd. The powder XRD pattern is simulated, not measured: it uses a structure optimized by DFT (PBE) and copper Kα.
Neutral-atom scattering factors, no anomalous dispersion.

Cell and atoms:
```
PrHo4Cd
1.0
5.2686 -3.0339 0.0000
5.2686 3.0339 0.0000
-3.3872 0.0000 11.2462
Pr Ho Cd
2 8 2
Cartesian
2.6343 1.5169 0.0000
0.9407 -1.5169 5.6231
2.7380 1.5412 5.5668
1.0140 0.5537 8.4260
6.1056 1.5412 0.0563
2.7076 -0.5537 2.8028
4.4424 0.5537 8.4434
1.0444 -1.5412 11.1899
6.1360 -0.5537 2.8203
4.4120 -1.5412 5.6794
4.4218 2.5596 2.8116
2.7282 -2.5596 8.4347
```

Most intense lines, 5 to 70 degrees two-theta, most intense first:
2θ (°)  I/Imax
33.6  100
33.4  54
31.8  51
30.5  41
52.2  25
62.6  21
30.4  20
63.5  16
62.3  15
29.4  14